Record 1
For Hf2N2O, a DFT-relaxed cell (GGA-PBE, the Materials Project) gives the calculated XRD peak list in this record (Cu Kα, 1.54184 Å).

Main lines, most intense first (5° ≤ 2θ ≤ 70°):
30.7 deg, rel. 1000, hkl 1 1 1
35.6 deg, rel. 492, hkl -2 2 2
30.9 deg, rel. 318, hkl -3 1 1
51.1 deg, rel. 227, hkl 0 4 0
60.9 deg, rel. 189, hkl 1 5 -3
51.4 deg, rel. 140, hkl 4 0 0
21.6 deg, rel. 108, hkl 1 1 -2
61.0 deg, rel. 95, hkl -3 5 1

Structure:
```
40
Lattice="8.6925 0.0000 0.0000 -2.8762 8.2477 0.0000 -2.9032 -4.1208 7.1448" Properties=species:S:1:pos:R:3 pbc="T T T"
Hf 0.0000 0.0000 0.0000
Hf -2.8432 1.9857 3.5490
Hf -2.6494 5.0133 2.0381
Hf -0.2708 2.8174 1.8667
Hf -0.1875 6.3057 0.2107
Hf -0.2072 0.1343 3.8133
Hf 0.1712 -2.7859 5.3501
Hf 2.6535 1.1142 1.5366
Hf -0.0072 6.1351 3.6416
Hf 0.0193 0.0122 7.1237
Hf 0.2664 3.0515 5.6106
Hf 2.8001 6.8935 1.8385
Hf 3.1108 3.9721 3.3068
Hf 3.1201 -2.2027 6.8983
Hf 3.1974 1.3154 5.2600
Hf 5.5962 -0.8812 5.0586
N -3.3785 1.2517 5.5258
N -3.6114 4.1975 6.8061
N -1.0197 -1.0125 5.5900
N 0.6571 0.7684 1.9379
N 0.7355 -1.7516 3.4725
N -0.7282 2.3064 3.8432
N -0.4231 4.9265 1.8303
N -0.6340 4.8910 5.2217
N 3.6675 1.8107 3.2810
N 3.3713 -0.7857 5.2896
N 2.1616 5.8447 3.6472
N 2.3036 3.3630 5.2008
N 3.9574 5.1231 1.5844
N 6.5654 -0.0941 0.3391
N 6.3022 2.8955 1.6233
N 6.4453 -0.0115 3.2543
O -3.3945 -2.0489 6.8792
O -3.5311 4.1419 3.8926
O -0.9966 1.8913 7.0758
O 1.9172 3.2235 1.6490
O 3.5761 -0.7451 1.8987
O 1.0307 0.8928 5.5073
O 3.9203 2.2391 0.0802
O 6.3186 6.1582 0.2680
```

=====

Record 2
For Hf2N2O, a DFT-relaxed cell (GGA-PBE, the Materials Project) gives the calculated XRD peak list in this record (Cu Kα, 1.54184 Å).

Main lines, most intense first (5° ≤ 2θ ≤ 70°):
30.7 deg, rel. 1000, hkl 1 1 1
30.8 deg, rel. 327, hkl -3 1 1
35.6 deg, rel. 323, hkl -2 2 2
51.3 deg, rel. 293, hkl 4 0 0
60.9 deg, rel. 189, hkl 3 -1 3
35.7 deg, rel. 173, hkl 2 -2 2
51.2 deg, rel. 151, hkl 0 0 4
21.6 deg, rel. 143, hkl 1 -2 0

Structure:
```
40
Lattice="8.7123 0.0000 0.0000 -2.8956 8.2362 0.0000 -2.9220 -4.0949 7.1415" Properties=species:S:1:pos:R:3 pbc="T T T"
Hf 0.0000 0.0000 0.0000
Hf -2.8285 2.0661 3.5790
Hf -2.6996 -1.1365 5.5842
Hf -0.1652 2.8076 1.8663
Hf 0.3001 -0.1478 3.3283
Hf -2.5248 1.9175 6.9104
Hf 0.3100 -2.7658 5.3688
Hf -0.0275 3.2079 5.0765
Hf 3.0092 -1.9946 3.4867
Hf 3.1269 4.1454 0.0561
Hf 3.2153 0.9151 2.0424
Hf 2.8294 6.8680 1.7774
Hf 2.7562 4.2782 3.7876
Hf 5.7303 2.2969 0.2654
Hf 3.2086 1.3404 5.2878
Hf 5.7049 5.3141 1.5672
N -3.4089 0.8014 5.2406
N -2.1799 3.3601 1.9646
N -2.0613 5.9450 3.3854
N -0.6535 1.7230 3.6772
N 0.5892 7.0364 1.6061
N 0.7249 4.1426 3.2160
N 3.5098 2.0133 0.2311
N -0.4284 2.1025 6.8661
N 2.3544 0.0281 3.8852
N 2.2618 0.1358 6.8131
N 2.0043 3.1416 5.5294
N 3.6508 4.8824 1.9338
N 3.7890 2.4142 3.4597
N 5.1610 -1.8113 3.8267
N 4.8779 -2.1759 7.0301
N 7.7919 -0.8375 1.6745
O -4.6252 5.0192 5.4715
O -1.7431 6.3712 0.0893
O -2.3427 3.3764 5.2721
O -0.5814 -0.7598 5.2002
O 1.1306 1.0289 1.6178
O 0.8819 4.0220 0.3401
O 2.4802 -2.9426 5.5497
O 5.4154 0.8018 1.9102
```